This entry pairs a crystal structure of PrHo5Tm12 with its theoretical X-ray diffraction stick pattern. Radiation: Cu Kα, 1.54184 Å. Structure: a structure optimized by DFT (PBE).
Lines closer than 0.1° are merged.

Crystal structure
```
data_PrHo5Tm12
_chemical_formula_sum 'Pr2 Ho10 Tm24'
_cell_length_a 6.130
_cell_length_b 10.614
_cell_length_c 17.046
_cell_angle_alpha 90.00
_cell_angle_beta 96.90
_cell_angle_gamma 90.00
_symmetry_space_group_name_H-M 'C 1 2/m 1'
_symmetry_Int_Tables_number 12
loop_
_symmetry_equiv_pos_as_xyz
'x,y,z'
'-x,-y,-z'
'-x,y,-z'
'x,-y,z'
'x+1/2,y+1/2,z'
'-x+1/2,-y+1/2,-z'
'-x+1/2,y+1/2,-z'
'x+1/2,-y+1/2,z'
loop_
_atom_site_label
_atom_site_type_symbol
_atom_site_fract_x
_atom_site_fract_y
_atom_site_fract_z
Pr1 Pr 0.000 0.000 0.000
Ho1 Ho 0.000 0.166 0.500
Ho2 Ho 0.000 0.333 0.000
Ho3 Ho 0.000 0.500 0.500
Tm1 Tm 0.109 0.500 0.831
Tm2 Tm 0.111 0.000 0.333
Tm3 Tm 0.111 0.167 0.831
Tm4 Tm 0.111 0.333 0.333
```

Principal peaks in the range 5° ≤ 2θ ≤ 70°, sorted by position:
| Position (°2θ) | I (rel.) |
| --- | --- |
| 29.36 | 37 |
| 31.73 | 51 |
| 32.45 | 100 |
| 34.18 | 91 |
| 51.66 | 26 |
| 55.83 | 20 |
| 59.21 | 20 |
| 61.91 | 46 |